Calculated powder diffractogram of ZrOs2 for CuKα, from a GGA-PBE-relaxed structure.
Kinematic intensities with the Lorentz-polarization factor, no thermal factor.

Cell and atoms:
```
ZrOs2
1.0
5.243 0.000 0.000
-2.621 4.541 0.000
0.000 0.000 8.611
Zr Os
4 8
Cartesian
0.000 3.027 0.575
0.000 3.027 3.731
2.621 1.514 4.880
2.621 1.514 8.037
0.000 0.000 0.000
0.000 0.000 4.306
0.000 1.567 6.459
-1.264 3.757 6.459
1.357 0.784 2.153
1.264 3.757 6.459
3.886 0.784 2.153
2.621 2.973 2.153
```

Most intense lines, 10° ≤ 2θ ≤ 90°, low angle first:
- hkl 1 0 0, 2θ 19.55, d = 4.541 Å, I 28
- hkl 1 0 3, 2θ 37.05, d = 2.426 Å, I 48
- hkl 1 1 2, 2θ 40.28, d = 2.239 Å, I 87
- hkl 2 0 1, 2θ 41.12, d = 2.195 Å, I 100
- hkl 0 0 4, 2θ 41.97, d = 2.153 Å, I 28
- hkl 2 0 2, 2θ 45.15, d = 2.008 Å, I 42
- hkl 3 0 2, 2θ 65.35, d = 1.428 Å, I 21
- hkl 2 0 5, 2θ 68.37, d = 1.372 Å, I 29
- hkl 2 2 0, 2θ 72.05, d = 1.311 Å, I 27
- hkl 2 2 4, 2θ 87.04, d = 1.120 Å, I 21